(1)
Starting from a structure optimized by DFT (GGA-PBE), the XRD peak list of FeH2Pd4 was computed for Cu Ka.
Intensities are scaled so that the largest is 100.

Principal peaks in the range 2θ from 5° to 70°, most intense first:
39.46 deg, I 100
40.34 deg, I 80
39.65 deg, I 54
36.93 deg, I 20
47.81 deg, I 17
47.96 deg, I 17
38.76 deg, I 17
38.87 deg, I 17
54.65 deg, I 16
42.62 deg, I 13

Lattice parameters (Å, degrees): 5.480 5.480 7.067 99.28 99.28 125.31
Element x y z (fractional)
Fe 0.125 0.875 0.500
Fe 0.875 0.125 0.000
H 0.121 0.608 0.679
H 0.608 0.121 0.179
H 0.678 0.690 0.322
H 0.690 0.678 0.822
Pd 0.261 0.416 0.797
Pd 0.307 0.976 0.892
Pd 0.371 0.714 0.202
Pd 0.416 0.261 0.297
Pd 0.662 0.834 0.607
Pd 0.714 0.371 0.702
Pd 0.834 0.662 0.107
Pd 0.976 0.307 0.392

---

(2)
Starting from a structure optimized by DFT (GGA-PBE), the XRD peak list of Tl3In2Au9 was computed for Cu Ka.
Intensities are scaled so that the largest is 100.

Principal peaks in the range 2θ from 5° to 70°, most intense first:
40.89 deg, I 100
37.68 deg, I 53
34.78 deg, I 40
17.19 deg, I 38
30.56 deg, I 36
36.81 deg, I 35
19.62 deg, I 22
34.47 deg, I 18
34.60 deg, I 18
52.34 deg, I 15

Lattice parameters (Å, degrees): 9.093 9.093 4.774 105.07 105.07 102.77
Element x y z (fractional)
Tl 0.000 0.000 0.000
Tl 0.253 0.747 0.000
Tl 0.747 0.253 0.000
In 0.332 0.332 0.833
In 0.668 0.668 0.167
Au 0.022 0.416 0.719
Au 0.153 0.355 0.255
Au 0.355 0.153 0.255
Au 0.416 0.022 0.719
Au 0.500 0.500 0.500
Au 0.584 0.978 0.281
Au 0.645 0.847 0.745
Au 0.847 0.645 0.745
Au 0.978 0.584 0.281